1.
Starting from a cell relaxed with GGA-PBE, the powder X-ray diffraction pattern of BaTl8Pd4 was calculated for Cu Ka.
Kinematic intensities with the Lorentz-polarization factor, no thermal factor.

Structure:
```
data_BaTl8Pd4
_chemical_formula_sum 'Ba2 Tl16 Pd8'
_cell_length_a 10.220
_cell_length_b 10.220
_cell_length_c 6.032
_cell_angle_alpha 90.00
_cell_angle_beta 90.00
_cell_angle_gamma 90.00
_space_group_name_H-M_alt 'I 4/m m m'
_space_group_IT_number 139
_space_group_name_Hall '-I 4 2'
loop_
_atom_site_label
_atom_site_fract_x
_atom_site_fract_y
_atom_site_fract_z
Ba1 0.000 0.000 0.000
Tl1 0.000 0.222 0.500
Tl2 0.000 0.341 0.000
Pd1 0.250 0.250 0.250
```

The 6 most intense peaks (10 to 90 degrees two-theta), by intensity:
h k l	Position (°2θ)	I (rel.)
3 2 1	34.98	100
2 2 2	38.90	81
4 0 0	35.12	56
3 0 1	30.13	45
4 1 1	39.30	43
2 0 2	34.53	40

=====

2.
Starting from a cell relaxed with GGA-PBE, the powder X-ray diffraction pattern of RbLi2SmCl6 was calculated for Cu Ka.
Kinematic intensities with the Lorentz-polarization factor, no thermal factor.

Structure:
```
data_RbLi2SmCl6
_chemical_formula_sum 'Rb1 Li2 Sm1 Cl6'
_cell_length_a 6.682
_cell_length_b 6.690
_cell_length_c 8.789
_cell_angle_alpha 90.11
_cell_angle_beta 112.02
_cell_angle_gamma 119.95
_space_group_name_H-M_alt 'P 1'
_space_group_IT_number 1
_space_group_name_Hall 'P 1'
loop_
_atom_site_label
_atom_site_fract_x
_atom_site_fract_y
_atom_site_fract_z
Rb1 0.000 0.000 0.000
Li1 0.345 0.172 0.518
Li2 0.653 0.827 0.482
Sm1 0.000 0.500 0.500
Cl1 0.121 0.219 0.683
Cl2 0.220 0.439 0.316
Cl3 0.463 0.902 0.684
Cl4 0.536 0.097 0.317
Cl5 0.778 0.561 0.683
Cl6 0.879 0.782 0.317
```

The 6 most intense peaks (10 to 90 degrees two-theta), by intensity:
h k l	Position (°2θ)	I (rel.)
0 1 -1	17.03	100
0 0 1	11.17	49
1 1 1	35.07	49
0 1 1	21.40	42
3 0 -2	47.07	28
1 -2 1	28.96	27

=====

3.
Starting from a cell relaxed with GGA-PBE, the powder X-ray diffraction pattern of V3Re2Mo was calculated for Cu Ka.
Kinematic intensities with the Lorentz-polarization factor, no thermal factor.

Structure:
```
data_V3Re2Mo
_chemical_formula_sum 'V12 Re8 Mo4'
_cell_length_a 4.311
_cell_length_b 6.100
_cell_length_c 12.939
_cell_angle_alpha 90.00
_cell_angle_beta 90.00
_cell_angle_gamma 90.00
_space_group_name_H-M_alt 'I m m a'
_space_group_IT_number 74
_space_group_name_Hall '-I 2b 2'
loop_
_atom_site_label
_atom_site_fract_x
_atom_site_fract_y
_atom_site_fract_z
V1 0.000 0.000 0.000
V2 0.000 0.000 0.334
Re1 0.000 0.250 0.167
Re2 0.000 0.250 0.499
Mo1 0.000 0.250 0.834
```

The 6 most intense peaks (10 to 90 degrees two-theta), by intensity:
h k l	Position (°2θ)	I (rel.)
2 0 0	41.90	100
1 0 3	29.29	34
3 2 3	76.52	33
2 0 6	60.74	16
3 0 3	68.84	13
2 2 0	51.94	10

=====

4.
Starting from a cell relaxed with GGA-PBE, the powder X-ray diffraction pattern of Li5Pr2Sn4 was calculated for Cu Ka.
Kinematic intensities with the Lorentz-polarization factor, no thermal factor.

Structure:
```
data_Li5Pr2Sn4
_chemical_formula_sum 'Li20 Pr8 Sn16'
_cell_length_a 6.284
_cell_length_b 10.367
_cell_length_c 16.377
_cell_angle_alpha 90.00
_cell_angle_beta 90.00
_cell_angle_gamma 90.00
_space_group_name_H-M_alt 'F m m m'
_space_group_IT_number 69
_space_group_name_Hall '-F 2 2'
loop_
_atom_site_label
_atom_site_fract_x
_atom_site_fract_y
_atom_site_fract_z
Li1 0.000 0.000 0.000
Li2 0.250 0.250 0.000
Li3 0.250 0.250 0.250
Pr1 0.000 0.000 0.334
Sn1 0.000 0.141 0.140
```

The 6 most intense peaks (10 to 90 degrees two-theta), by intensity:
h k l	Position (°2θ)	I (rel.)
1 3 3	33.85	100
0 0 4	21.71	56
1 3 1	30.01	53
2 0 0	28.41	51
0 0 2	10.80	41
1 3 7	49.21	39

=====

5.
Starting from a cell relaxed with GGA-PBE, the powder X-ray diffraction pattern of LiZn4Ag7 was calculated for Cu Ka.
Kinematic intensities with the Lorentz-polarization factor, no thermal factor.

Structure:
```
data_LiZn4Ag7
_chemical_formula_sum 'Li2 Zn8 Ag14'
_cell_length_a 12.684
_cell_length_b 4.741
_cell_length_c 8.077
_cell_angle_alpha 90.00
_cell_angle_beta 121.77
_cell_angle_gamma 90.00
_space_group_name_H-M_alt 'C 1 2/m 1'
_space_group_IT_number 12
_space_group_name_Hall '-C 2y'
loop_
_atom_site_label
_atom_site_fract_x
_atom_site_fract_y
_atom_site_fract_z
Li1 0.000 0.000 0.000
Zn1 0.057 0.500 0.724
Zn2 0.177 0.500 0.360
Ag1 0.000 0.500 0.000
Ag2 0.075 0.000 0.422
Ag3 0.204 0.000 0.874
Ag4 0.235 0.000 0.263
```

The 6 most intense peaks (10 to 90 degrees two-theta), by intensity:
h k l	Position (°2θ)	I (rel.)
1 1 -3	40.51	100
0 2 0	37.96	83
5 1 -1	41.33	56
3 1 -3	38.70	37
2 0 2	37.75	34
3 1 1	38.81	30

=====

6.
Starting from a cell relaxed with GGA-PBE, the powder X-ray diffraction pattern of BaAg was calculated for Cu Ka.
Kinematic intensities with the Lorentz-polarization factor, no thermal factor.

Structure:
```
data_BaAg
_chemical_formula_sum 'Ba6 Ag6'
_cell_length_a 12.399
_cell_length_b 4.607
_cell_length_c 8.761
_cell_angle_alpha 90.00
_cell_angle_beta 111.54
_cell_angle_gamma 90.00
_space_group_name_H-M_alt 'C 1 m 1'
_space_group_IT_number 8
_space_group_name_Hall 'C -2y'
loop_
_atom_site_label
_atom_site_fract_x
_atom_site_fract_y
_atom_site_fract_z
Ba1 0.000 0.000 0.000
Ba2 0.144 0.500 0.700
Ba3 0.327 0.500 0.350
Ag1 0.134 0.000 0.411
Ag2 0.289 0.000 0.006
Ag3 0.353 0.000 0.691
```

The 6 most intense peaks (10 to 90 degrees two-theta), by intensity:
h k l	Position (°2θ)	I (rel.)
1 1 -2	28.11	100
3 1 1	35.14	68
1 1 1	24.79	65
3 1 -1	29.13	60
0 0 3	32.98	56
3 1 -2	32.04	46

=====

7.
Starting from a cell relaxed with GGA-PBE, the powder X-ray diffraction pattern of La5Sc4Ag4 was calculated for Cu Ka.
Kinematic intensities with the Lorentz-polarization factor, no thermal factor.

Structure:
```
data_La5Sc4Ag4
_chemical_formula_sum 'La10 Sc8 Ag8'
_cell_length_a 12.044
_cell_length_b 12.044
_cell_length_c 5.011
_cell_angle_alpha 90.00
_cell_angle_beta 90.00
_cell_angle_gamma 90.00
_space_group_name_H-M_alt 'I 4/m'
_space_group_IT_number 87
_space_group_name_Hall '-I 4'
loop_
_atom_site_label
_atom_site_fract_x
_atom_site_fract_y
_atom_site_fract_z
La1 0.000 0.000 0.000
La2 0.128 0.197 0.500
Sc1 0.081 0.599 0.500
Ag1 0.069 0.743 0.000
```

The 6 most intense peaks (10 to 90 degrees two-theta), by intensity:
h k l	Position (°2θ)	I (rel.)
2 3 1	32.21	100
3 0 1	28.49	83
4 1 1	35.58	61
0 0 2	35.84	49
2 4 0	33.27	47
2 1 1	24.26	37

=====

8.
Starting from a cell relaxed with GGA-PBE, the powder X-ray diffraction pattern of NaAlCuGe2 was calculated for Cu Ka.
Kinematic intensities with the Lorentz-polarization factor, no thermal factor.

Structure:
```
data_NaAlCuGe2
_chemical_formula_sum 'Na2 Al2 Cu2 Ge4'
_cell_length_a 4.153
_cell_length_b 4.153
_cell_length_c 10.864
_cell_angle_alpha 90.00
_cell_angle_beta 90.00
_cell_angle_gamma 90.00
_space_group_name_H-M_alt 'I -4 m 2'
_space_group_IT_number 119
_space_group_name_Hall 'I -4 -2'
loop_
_atom_site_label
_atom_site_fract_x
_atom_site_fract_y
_atom_site_fract_z
Na1 0.000 0.000 0.000
Al1 0.000 0.500 0.250
Cu1 0.000 0.500 0.750
Ge1 0.000 0.000 0.385
```

The 6 most intense peaks (10 to 90 degrees two-theta), by intensity:
h k l	Position (°2θ)	I (rel.)
1 0 1	22.92	100
1 1 4	45.49	80
1 1 2	34.73	70
2 0 0	43.58	70
1 0 3	32.81	59
1 0 5	47.21	40